(1)
Starting from the GGA-PBE geometry in Alexandria, the powder diffraction line list of Ge2S4F was calculated for Cu Kα (weighted mean of Kα1 and Kα2).

Main lines, by angle (2θ from 10° to 90°):
| 2θ/deg | Rel. int. | h k l |
| --- | --- | --- |
| 16.2 | 100 | 1 1 1 |
| 25.6 | 24 | 3 1 1 |
| 29.4 | 17 | 0 2 2 |
| 29.6 | 22 | 2 4 0 |
| 29.9 | 20 | 2 0 2 |
| 30.9 | 18 | 4 2 0 |
| 31.6 | 22 | 3 3 1 |
| 32.7 | 18 | 2 2 2 |
| 41.1 | 12 | 1 1 3 |
| 41.4 | 26 | 3 5 1 |
| 49.9 | 15 | 3 3 3 |
| 52.5 | 27 | 6 2 2 |

Crystal structure
abc: 12.775 13.713 6.771
angles: 90.00 90.00 90.00
Space group Fdd2 (No. 43)
Symmetry-distinct sites (fractional):
Ge: 0.117 0.419 0.000 [16 per cell]
S: 0.038 0.406 0.303 [16 per cell]
S: 0.040 0.311 0.783 [16 per cell]
F: 0.000 0.000 0.377 [8 per cell]


(2)
Starting from the GGA-PBE geometry in Alexandria, the powder diffraction line list of UIrRhO6 was calculated for Cu Kα (weighted mean of Kα1 and Kα2).

Main lines, by angle (2θ from 10° to 90°):
| 2θ/deg | Rel. int. | h k l |
| --- | --- | --- |
| 22.0 | 14 | 1 0 1 |
| 27.8 | 100 | 1 0 2 |
| 34.5 | 50 | 1 1 0 |
| 39.3 | 10 | 0 0 4 |
| 44.9 | 28 | 2 0 2 |
| 53.3 | 42 | 2 -1 4 |
| 57.9 | 26 | 3 -1 2 |
| 61.9 | 15 | 3 0 0 |
| 64.3 | 10 | 1 0 6 |
| 75.8 | 10 | 3 0 4 |
| 79.7 | 11 | 3 1 2 |
| 86.1 | 11 | 2 2 4 |

Crystal structure
abc: 5.1924 5.1924 9.1783
angles: 90.00 90.00 120.00
Space group P-31c (No. 163)
Symmetry-distinct sites (fractional):
U: 0.3333 0.6667 0.2500 [2 per cell]
Ir: 0.0000 0.0000 0.0000 [2 per cell]
Rh: 0.3333 0.6667 0.7500 [2 per cell]
O: 0.0044 0.3288 0.6234 [12 per cell]


(3)
Starting from the GGA-PBE geometry in Alexandria, the powder diffraction line list of Er5Hg2RuRh2 was calculated for Cu Kα (weighted mean of Kα1 and Kα2).

Main lines, by angle (2θ from 10° to 90°):
| 2θ/deg | Rel. int. | h k l |
| --- | --- | --- |
| 30.9 | 18 | 2 1 1 |
| 32.2 | 56 | 4 1 0 |
| 33.2 | 20 | 3 3 0 |
| 35.0 | 17 | 4 2 0 |
| 35.6 | 100 | 3 1 1 |
| 38.2 | 33 | 3 2 1 |
| 52.2 | 16 | 0 0 2 |
| 57.2 | 16 | 6 2 1 |
| 62.7 | 17 | 4 1 2 |
| 63.2 | 14 | 3 3 2 |
| 64.9 | 13 | 7 2 1 |
| 80.7 | 12 | 5 5 2 |

Crystal structure
abc: 11.461 11.461 3.505
angles: 90.00 90.00 90.00
Space group P4/mbm (No. 127)
Symmetry-distinct sites (fractional):
Er: 0.000 0.500 0.000 [2 per cell]
Er: 0.076 0.192 0.000 [8 per cell]
Hg: 0.174 0.674 0.500 [4 per cell]
Ru: 0.000 0.000 0.500 [2 per cell]
Rh: 0.132 0.368 0.500 [4 per cell]


(4)
Starting from the GGA-PBE geometry in Alexandria, the powder diffraction line list of Ge7O16 was calculated for Cu Kα (weighted mean of Kα1 and Kα2).

Main lines, by angle (2θ from 10° to 90°):
| 2θ/deg | Rel. int. | h k l |
| --- | --- | --- |
| 11.3 | 100 | 1 0 0 |
| 19.7 | 21 | 1 1 1 |
| 22.8 | 4 | 2 0 0 |
| 28.0 | 14 | 2 1 1 |
| 32.4 | 7 | 2 2 0 |
| 34.5 | 9 | 3 0 0 |
| 36.4 | 10 | 3 1 0 |
| 38.2 | 15 | 3 1 1 |
| 52.4 | 5 | 4 2 0 |
| 59.2 | 7 | 4 3 0 |
| 61.8 | 6 | 3 3 3 |
| 67.9 | 6 | 4 4 0 |

Crystal structure
abc: 7.805 7.805 7.805
angles: 90.00 90.00 90.00
Space group P-43m (No. 215)
Symmetry-distinct sites (fractional):
Ge: 0.000 0.000 0.500 [3 per cell]
Ge: 0.139 0.139 0.139 [4 per cell]
O: 0.115 0.115 0.885 [4 per cell]
O: 0.134 0.134 0.375 [12 per cell]


(5)
Starting from the GGA-PBE geometry in Alexandria, the powder diffraction line list of Dy2TmZn12Cu3 was calculated for Cu Kα (weighted mean of Kα1 and Kα2).

Main lines, by angle (2θ from 10° to 90°):
| 2θ/deg | Rel. int. | h k l |
| --- | --- | --- |
| 29.2 | 100 | 1 1 3 |
| 32.1 | 29 | 0 2 1 |
| 33.9 | 35 | 1 1 6 |
| 35.9 | 48 | 2 0 5 |
| 36.3 | 27 | 1 0 10 |
| 39.4 | 76 | 0 1 11 |
| 42.7 | 19 | 2 1 1 |
| 44.7 | 21 | 2 1 4 |
| 46.2 | 20 | 0 2 10 |
| 49.7 | 28 | 0 3 3 |
| 52.8 | 26 | 0 3 6 |
| 56.8 | 44 | 2 2 0 |

Crystal structure
abc: 6.4812 6.4812 27.5472
angles: 90.00 90.00 120.00
Space group R-3m (No. 166, hexagonal axes)
Symmetry-distinct sites (fractional):
Dy: 0.0000 0.0000 0.1429 [6 per cell]
Tm: 0.0000 0.0000 0.5000 [3 per cell]
Zn: 0.0618 0.5309 0.9042 [18 per cell]
Zn: 0.0681 0.5341 0.7133 [18 per cell]
Cu: 0.0000 0.5000 0.0000 [9 per cell]


(6)
Starting from the GGA-PBE geometry in Alexandria, the powder diffraction line list of TmSi3Tc5 was calculated for Cu Kα (weighted mean of Kα1 and Kα2).

Main lines, by angle (2θ from 10° to 90°):
| 2θ/deg | Rel. int. | h k l |
| --- | --- | --- |
| 23.6 | 52 | 0 2 3 |
| 32.9 | 34 | 0 4 3 |
| 35.5 | 64 | 1 3 0 |
| 36.1 | 100 | 1 1 3 |
| 37.9 | 52 | 1 3 2 |
| 39.8 | 24 | 0 6 0 |
| 40.3 | 75 | 0 6 1 |
| 42.0 | 55 | 0 2 6 |
| 44.6 | 25 | 1 5 0 |
| 48.2 | 25 | 0 4 6 |
| 60.7 | 21 | 2 0 0 |
| 62.9 | 23 | 1 7 4 |

Crystal structure
abc: 3.053 13.605 13.604
angles: 90.00 90.00 90.00
Space group Cmcm (No. 63)
Symmetry-distinct sites (fractional):
Tm: 0.000 0.153 0.250 [4 per cell]
Si: 0.000 0.158 0.750 [4 per cell]
Si: 0.000 0.370 0.555 [8 per cell]
Tc: 0.000 0.000 0.000 [4 per cell]
Tc: 0.000 0.194 0.581 [8 per cell]
Tc: 0.000 0.460 0.159 [8 per cell]


(7)
Starting from the GGA-PBE geometry in Alexandria, the powder diffraction line list of Rb2ThCu2Te4 was calculated for Cu Kα (weighted mean of Kα1 and Kα2).

Main lines, by angle (2θ from 10° to 90°):
| 2θ/deg | Rel. int. | h k l |
| --- | --- | --- |
| 10.8 | 68 | 0 0 1 |
| 22.5 | 16 | 1 1 -1 |
| 26.4 | 22 | 3 1 -1 |
| 28.6 | 100 | 1 1 -2 |
| 30.5 | 29 | 3 1 -2 |
| 30.7 | 23 | 3 1 1 |
| 34.1 | 20 | 5 1 -1 |
| 35.0 | 18 | 6 0 0 |
| 37.9 | 25 | 3 1 2 |
| 40.3 | 27 | 0 2 0 |
| 44.8 | 22 | 7 1 -2 |
| 46.9 | 24 | 3 1 3 |

Crystal structure
abc: 16.253 4.478 8.677
angles: 90.00 108.65 90.00
Space group C2/m (No. 12)
Symmetry-distinct sites (fractional):
Rb: 0.139 0.000 0.068 [4 per cell]
Th: 0.000 0.000 0.500 [2 per cell]
Cu: 0.171 0.500 0.487 [4 per cell]
Te: 0.018 0.500 0.257 [4 per cell]
Te: 0.202 0.000 0.665 [4 per cell]


(8)
Starting from the GGA-PBE geometry in Alexandria, the powder diffraction line list of Tb2Y5Pu was calculated for Cu Kα (weighted mean of Kα1 and Kα2).

Main lines, by angle (2θ from 10° to 90°):
| 2θ/deg | Rel. int. | h k l |
| --- | --- | --- |
| 15.6 | 17 | 1 1 0 |
| 18.5 | 16 | 1 1 -2 |
| 27.8 | 21 | 1 3 -1 |
| 30.9 | 79 | 0 2 4 |
| 31.9 | 100 | 2 2 -2 |
| 32.4 | 28 | 0 4 0 |
| 32.6 | 50 | 2 0 2 |
| 33.1 | 28 | 0 4 1 |
| 35.9 | 19 | 1 3 3 |
| 46.7 | 20 | 2 4 2 |
| 56.6 | 17 | 4 0 -4 |
| 58.4 | 18 | 4 2 0 |

Crystal structure
abc: 6.752 11.050 13.894
angles: 90.00 102.37 90.00
Space group C2/c (No. 15)
Symmetry-distinct sites (fractional):
Tb: 0.246 0.023 0.475 [8 per cell]
Y: 0.000 0.486 0.750 [4 per cell]
Y: 0.124 0.245 0.098 [8 per cell]
Y: 0.146 0.213 0.654 [8 per cell]
Pu: 0.000 0.055 0.250 [4 per cell]


(9)
Starting from the GGA-PBE geometry in Alexandria, the powder diffraction line list of PmSm7 was calculated for Cu Kα (weighted mean of Kα1 and Kα2).

Main lines, by angle (2θ from 10° to 90°):
| 2θ/deg | Rel. int. | h k l |
| --- | --- | --- |
| 30.2 | 100 | 2 2 2 |
| 35.0 | 51 | 4 0 0 |
| 50.3 | 36 | 4 4 0 |
| 59.8 | 43 | 6 2 2 |
| 62.7 | 12 | 4 4 4 |
| 73.9 | 6 | 8 0 0 |
| 81.8 | 18 | 6 6 2 |
| 84.4 | 16 | 8 4 0 |

Crystal structure
abc: 10.260 10.260 10.260
angles: 90.00 90.00 90.00
Space group Fm-3m (No. 225)
Symmetry-distinct sites (fractional):
Pm: 0.000 0.000 0.000 [4 per cell]
Sm: 0.000 0.000 0.500 [4 per cell]
Sm: 0.000 0.250 0.250 [24 per cell]


(10)
Starting from the GGA-PBE geometry in Alexandria, the powder diffraction line list of Ca2As3Pd6 was calculated for Cu Kα (weighted mean of Kα1 and Kα2).

Main lines, by angle (2θ from 10° to 90°):
| 2θ/deg | Rel. int. | h k l |
| --- | --- | --- |
| 13.8 | 35 | 1 0 0 |
| 24.0 | 32 | 1 1 0 |
| 31.6 | 80 | 1 1 1 |
| 37.0 | 19 | 2 1 0 |
| 41.2 | 41 | 0 0 2 |
| 42.2 | 32 | 3 0 0 |
| 42.6 | 100 | 2 1 1 |
| 47.3 | 28 | 3 0 1 |
| 56.6 | 10 | 2 1 2 |
| 60.5 | 22 | 3 0 2 |
| 70.6 | 19 | 4 1 1 |
| 76.0 | 17 | 2 1 3 |

Crystal structure
abc: 7.4130 7.4130 4.3849
angles: 90.00 90.00 120.00
Space group P-62m (No. 189)
Symmetry-distinct sites (fractional):
Ca: 0.3333 0.6667 0.0000 [2 per cell]
As: 0.0000 0.6269 0.5000 [3 per cell]
Pd: 0.0000 0.2930 0.5000 [3 per cell]
Pd: 0.0000 0.7855 0.0000 [3 per cell]


(11)
Starting from the GGA-PBE geometry in Alexandria, the powder diffraction line list of TmMg2Ga3 was calculated for Cu Kα (weighted mean of Kα1 and Kα2).

Main lines, by angle (2θ from 10° to 90°):
| 2θ/deg | Rel. int. | h k l |
| --- | --- | --- |
| 14.5 | 22 | 0 0 1 |
| 21.5 | 34 | 1 0 0 |
| 26.1 | 26 | 0 1 1 |
| 36.7 | 100 | 0 1 2 |
| 37.7 | 80 | 1 1 0 |
| 40.6 | 11 | 1 1 1 |
| 53.6 | 33 | 2 0 2 |
| 65.3 | 14 | 1 0 4 |
| 67.4 | 33 | 1 2 2 |
| 68.1 | 14 | 3 0 0 |
| 80.6 | 8 | 2 2 0 |
| 90.0 | 12 | 2 1 4 |

Crystal structure
abc: 4.7697 4.7697 6.0926
angles: 90.00 90.00 120.00
Space group P-3m1 (No. 164)
Symmetry-distinct sites (fractional):
Tm: 0.0000 0.0000 0.0000 [1 per cell]
Mg: 0.3333 0.6667 0.6823 [2 per cell]
Ga: 0.0000 0.0000 0.5000 [1 per cell]
Ga: 0.3333 0.6667 0.1892 [2 per cell]


(12)
Starting from the GGA-PBE geometry in Alexandria, the powder diffraction line list of SmTm3Hg12 was calculated for Cu Kα (weighted mean of Kα1 and Kα2).

Main lines, by angle (2θ from 10° to 90°):
| 2θ/deg | Rel. int. | h k l |
| --- | --- | --- |
| 33.8 | 100 | 1 1 4 |
| 37.4 | 19 | 0 0 8 |
| 40.1 | 32 | 2 0 0 |
| 56.0 | 24 | 2 0 8 |
| 58.0 | 11 | 2 2 0 |
| 65.2 | 15 | 1 1 12 |
| 68.8 | 26 | 3 1 4 |
| 71.0 | 12 | 2 2 8 |
| 79.8 | 2 | 0 0 16 |
| 86.5 | 4 | 4 0 0 |

Crystal structure
abc: 4.501 4.501 19.223
angles: 90.00 90.00 90.00
Space group P4/mmm (No. 123)
Symmetry-distinct sites (fractional):
Sm: 0.000 0.000 0.000 [1 per cell]
Tm: 0.000 0.000 0.253 [2 per cell]
Tm: 0.000 0.000 0.500 [1 per cell]
Hg: 0.000 0.500 0.128 [4 per cell]
Hg: 0.000 0.500 0.376 [4 per cell]
Hg: 0.500 0.500 0.000 [1 per cell]
Hg: 0.500 0.500 0.252 [2 per cell]
Hg: 0.500 0.500 0.500 [1 per cell]